1.
Starting from a cell relaxed with PBE, the powder X-ray diffraction pattern of Np3ScGa12 was computed for a wavelength of 1.5418 Å.
Kinematic intensities with the Lorentz-polarization factor, no thermal factor.

Largest 12 diffraction maxima, by angle, 10° ≤ 2θ ≤ 90°:
20.93°, intensity 7.6; 21.05°, intensity 15.0; 29.88°, intensity 19.1; 36.82°, intensity 100.0; 42.60°, intensity 16.2; 42.85°, intensity 33.0; 48.18°, intensity 7.3; 62.02°, intensity 21.0; 62.21°, intensity 10.8; 74.17°, intensity 11.8; 74.53°, intensity 25.0; 78.33°, intensity 10.6

Structural model:
Unit cell a=4.221 b=4.221 c=16.978 alpha=90.00 beta=90.00 gamma=90.00
Fractional coordinates of all 16 atoms:
Np1 0.000 0.000 0.000
Np2 0.000 0.000 0.255
Np3 0.000 0.000 0.745
Sc1 0.000 0.000 0.500
Ga1 0.000 0.500 0.127
Ga2 0.000 0.500 0.380
Ga3 0.000 0.500 0.620
Ga4 0.000 0.500 0.873
Ga5 0.500 0.000 0.127
Ga6 0.500 0.000 0.380
Ga7 0.500 0.000 0.620
Ga8 0.500 0.000 0.873
Ga9 0.500 0.500 0.000
Ga10 0.500 0.500 0.251
Ga11 0.500 0.500 0.500
Ga12 0.500 0.500 0.749

---

2.
Starting from a cell relaxed with PBE, the powder X-ray diffraction pattern of Sm4Hg7Pb was computed for a wavelength of 1.5418 Å.
Kinematic intensities with the Lorentz-polarization factor, no thermal factor.

Largest 12 diffraction maxima, by angle, 10° ≤ 2θ ≤ 90°:
28.65°, intensity 29.3; 29.58°, intensity 77.7; 31.90°, intensity 100.0; 32.24°, intensity 29.3; 34.65°, intensity 97.7; 37.32°, intensity 27.7; 37.97°, intensity 52.3; 38.77°, intensity 24.1; 44.06°, intensity 48.2; 45.99°, intensity 22.2; 58.63°, intensity 23.4; 69.01°, intensity 23.0

Structural model:
Unit cell a=7.074 b=7.074 c=11.194 alpha=119.55 beta=119.55 gamma=46.73
Fractional coordinates of all 12 atoms:
Sm1 0.084 0.084 0.277
Sm2 0.244 0.244 0.830
Sm3 0.756 0.756 0.170
Sm4 0.916 0.916 0.723
Hg1 0.000 0.000 0.500
Hg2 0.137 0.137 0.035
Hg3 0.299 0.299 0.589
Hg4 0.427 0.427 0.160
Hg5 0.573 0.573 0.840
Hg6 0.701 0.701 0.411
Hg7 0.863 0.863 0.965
Pb1 0.500 0.500 0.500

---

3.
Starting from a cell relaxed with PBE, the powder X-ray diffraction pattern of Cd2IO5 was computed for a wavelength of 1.5418 Å.
Kinematic intensities with the Lorentz-polarization factor, no thermal factor.

Largest 12 diffraction maxima, by angle, 10° ≤ 2θ ≤ 90°:
16.48°, intensity 36.2; 23.15°, intensity 100.0; 27.00°, intensity 66.8; 31.78°, intensity 60.8; 32.06°, intensity 31.6; 32.39°, intensity 24.9; 32.81°, intensity 53.3; 35.99°, intensity 35.1; 42.63°, intensity 33.0; 50.60°, intensity 29.4; 51.19°, intensity 23.2; 55.11°, intensity 23.7

Structural model:
Unit cell a=4.241 b=5.953 c=6.032 alpha=66.89 beta=69.53 gamma=69.15
Fractional coordinates of all 8 atoms:
Cd1 0.000 0.000 0.000
Cd2 0.384 0.711 0.524
I1 0.177 0.355 0.262
O1 0.177 0.099 0.587
O2 0.243 0.612 0.937
O3 0.411 0.067 0.114
O4 0.736 0.355 0.261
O5 0.975 0.643 0.410

---

4.
Starting from a cell relaxed with PBE, the powder X-ray diffraction pattern of Na3AcSe3 was computed for a wavelength of 1.5418 Å.
Kinematic intensities with the Lorentz-polarization factor, no thermal factor.

Largest 12 diffraction maxima, by angle, 10° ≤ 2θ ≤ 90°:
12.04°, intensity 38.3; 13.00°, intensity 46.5; 14.76°, intensity 35.2; 24.72°, intensity 100.0; 32.61°, intensity 79.4; 37.71°, intensity 47.6; 39.72°, intensity 15.2; 42.91°, intensity 29.7; 45.61°, intensity 18.2; 50.69°, intensity 18.4; 63.94°, intensity 18.1; 64.87°, intensity 18.0

Structural model:
Unit cell a=8.764 b=8.764 c=8.764 alpha=56.26 beta=56.26 gamma=56.26
Fractional coordinates of all 14 atoms:
Na1 0.130 0.827 0.397
Na2 0.173 0.603 0.870
Na3 0.397 0.130 0.827
Na4 0.603 0.870 0.173
Na5 0.827 0.397 0.130
Na6 0.870 0.173 0.603
Ac1 0.334 0.334 0.334
Ac2 0.666 0.666 0.666
Se1 0.074 0.459 0.709
Se2 0.291 0.926 0.541
Se3 0.459 0.709 0.074
Se4 0.541 0.291 0.926
Se5 0.709 0.074 0.459
Se6 0.926 0.541 0.291